[1]
Pm2CdHg2Pd5: simulated X-ray diffraction stick pattern (CuKα), based on a GGA-PBE-relaxed structure.
No peak broadening, texture or thermal motion is included.

Cell and atoms:
a b c (Å): 10.214 10.214 3.965
angles (deg): 90.00 90.00 90.00
Atoms (fractional coordinates):
Pm1 0.169 0.331 0.000
Pm2 0.331 0.831 0.000
Pm3 0.669 0.169 0.000
Pm4 0.831 0.669 0.000
Cd1 0.000 0.000 0.000
Cd2 0.500 0.500 0.000
Hg1 0.130 0.630 0.000
Hg2 0.370 0.130 0.000
Hg3 0.630 0.870 0.000
Hg4 0.870 0.370 0.000
Pd1 0.000 0.500 0.500
Pd2 0.041 0.800 0.500
Pd3 0.200 0.041 0.500
Pd4 0.300 0.541 0.500
Pd5 0.459 0.300 0.500
Pd6 0.500 0.000 0.500
Pd7 0.541 0.700 0.500
Pd8 0.700 0.459 0.500
Pd9 0.800 0.959 0.500
Pd10 0.959 0.200 0.500

The 12 most intense peaks (10 to 80 degrees two-theta), sorted by position:
- d 3.230, 27.62 deg, rel. 113
- d 2.670, 33.57 deg, rel. 192
- d 2.504, 35.86 deg, rel. 1000
- d 2.477, 36.26 deg, rel. 179
- d 2.408, 37.35 deg, rel. 276
- d 2.305, 39.08 deg, rel. 287
- d 2.147, 42.09 deg, rel. 325
- d 1.982, 45.77 deg, rel. 253
- d 1.806, 50.55 deg, rel. 107
- d 1.547, 59.78 deg, rel. 185
- d 1.530, 60.49 deg, rel. 136
- d 1.270, 74.72 deg, rel. 112

***

[2]
Cu3As2H2PbO10: simulated X-ray diffraction stick pattern (CuKα), based on a GGA-PBE-relaxed structure.
No peak broadening, texture or thermal motion is included.

Cell and atoms:
a b c (Å): 5.955 5.955 14.145
angles (deg): 103.60 103.60 60.79
Atoms (fractional coordinates):
Cu1 0.000 0.000 0.000
Cu2 0.000 0.000 0.500
Cu3 0.000 0.500 0.000
Cu4 0.500 0.000 0.500
Cu5 0.500 0.500 0.000
Cu6 0.500 0.500 0.500
As1 0.007 0.591 0.643
As2 0.409 0.993 0.857
As3 0.591 0.007 0.143
As4 0.993 0.409 0.357
H1 0.094 0.647 0.862
H2 0.353 0.906 0.638
H3 0.647 0.094 0.362
H4 0.906 0.353 0.138
Pb1 0.242 0.758 0.250
Pb2 0.758 0.242 0.750
O1 0.041 0.269 0.238
O2 0.125 0.149 0.916
O3 0.144 0.646 0.937
O4 0.149 0.125 0.416
O5 0.168 0.587 0.400
O6 0.269 0.041 0.738
O7 0.322 0.414 0.622
O8 0.354 0.856 0.563
O9 0.413 0.832 0.100
O10 0.414 0.322 0.122
O11 0.586 0.678 0.878
O12 0.587 0.168 0.900
O13 0.646 0.144 0.437
O14 0.678 0.586 0.378
O15 0.731 0.959 0.262
O16 0.832 0.413 0.600
O17 0.851 0.875 0.584
O18 0.856 0.354 0.063
O19 0.875 0.851 0.084
O20 0.959 0.731 0.762

The 12 most intense peaks (10 to 80 degrees two-theta), sorted by position:
- d 5.056, 17.54 deg, rel. 274
- d 4.602, 19.29 deg, rel. 377
- d 3.246, 27.48 deg, rel. 527
- d 3.186, 28.01 deg, rel. 1000
- d 2.976, 30.03 deg, rel. 440
- d 2.755, 32.50 deg, rel. 648
- d 2.700, 33.19 deg, rel. 364
- d 2.561, 35.04 deg, rel. 380
- d 2.528, 35.51 deg, rel. 349
- d 2.301, 39.15 deg, rel. 373
- d 1.835, 49.67 deg, rel. 231
- d 1.488, 62.40 deg, rel. 245